(1)
Structure and calculated PXRD pattern of Y2Ti3O9 (a cell relaxed with GGA-PBE; copper Kα).
Lines closer than 0.1° are merged.

Crystal structure
a = 16.5704 Å, b = 7.6845 Å, c = 5.3033 Å
α = 90.00°, β = 90.00°, γ = 90.00°
Positions (direct):
Y (0.0175, 0.2500, 0.0096)
Y (0.1867, 0.2500, 0.4831)
Y (0.3133, 0.7500, 0.9831)
Y (0.4825, 0.7500, 0.5096)
Y (0.5175, 0.2500, 0.4904)
Y (0.6867, 0.2500, 0.0169)
Y (0.8133, 0.7500, 0.5169)
Y (0.9825, 0.7500, 0.9904)
Ti (0.0000, 0.0000, 0.5000)
Ti (0.0000, 0.5000, 0.5000)
Ti (0.1657, 0.5077, 0.9962)
Ti (0.1657, 0.9923, 0.9962)
Ti (0.3343, 0.0077, 0.4962)
Ti (0.3343, 0.4923, 0.4962)
Ti (0.5000, 0.0000, 0.0000)
Ti (0.5000, 0.5000, 0.0000)
Ti (0.6657, 0.5077, 0.5038)
Ti (0.6657, 0.9923, 0.5038)
Ti (0.8343, 0.0077, 0.0038)
Ti (0.8343, 0.4923, 0.0038)
O (0.0082, 0.7500, 0.4126)
O (0.0619, 0.5314, 0.8143)
O (0.0619, 0.9686, 0.8143)
O (0.0961, 0.0665, 0.2923)
O (0.0961, 0.4335, 0.2923)
O (0.1544, 0.2500, 0.8952)
O (0.1701, 0.7500, 0.0592)
O (0.2426, 0.5322, 0.7293)
O (0.2426, 0.9678, 0.7293)
O (0.2574, 0.0322, 0.2293)
O (0.2574, 0.4678, 0.2293)
O (0.3299, 0.2500, 0.5592)
O (0.3456, 0.7500, 0.3952)
O (0.4039, 0.5665, 0.7923)
O (0.4039, 0.9335, 0.7923)
O (0.4381, 0.0314, 0.3143)
O (0.4381, 0.4686, 0.3143)
O (0.4918, 0.2500, 0.9126)
O (0.5082, 0.7500, 0.0874)
O (0.5619, 0.5314, 0.6857)
O (0.5619, 0.9686, 0.6857)
O (0.5961, 0.0665, 0.2077)
O (0.5961, 0.4335, 0.2077)
O (0.6544, 0.2500, 0.6048)
O (0.6701, 0.7500, 0.4408)
O (0.7426, 0.5322, 0.7707)
O (0.7426, 0.9678, 0.7707)
O (0.7574, 0.0322, 0.2707)
O (0.7574, 0.4678, 0.2707)
O (0.8299, 0.2500, 0.9408)
O (0.8456, 0.7500, 0.1048)
O (0.9039, 0.5665, 0.7077)
O (0.9039, 0.9335, 0.7077)
O (0.9381, 0.0314, 0.1857)
O (0.9381, 0.4686, 0.1857)
O (0.9918, 0.2500, 0.5874)

Main lines, by angle (15° ≤ 2θ ≤ 90°):
2θ 15.7, d = 5.634 Å, I 36, (2 1 0)
2θ 21.0, d = 4.221 Å, I 31, (1 1 1)
2θ 33.0, d = 2.711 Å, I 100, (3 2 1)
2θ 33.8, d = 2.652 Å, I 23, (0 0 2)
2θ 47.5, d = 1.913 Å, I 33, (6 0 2)
2θ 60.0, d = 1.542 Å, I 24, (3 2 3)

***

(2)
Structure and calculated PXRD pattern of PuTl2I5 (a cell relaxed with GGA-PBE; copper Kα).
Lines closer than 0.1° are merged.

Crystal structure
a = 8.6242 Å, b = 8.6242 Å, c = 13.0742 Å
α = 90.00°, β = 90.00°, γ = 90.00°
Positions (direct):
Pu (0.0000, 0.0000, 0.0000)
Pu (0.5000, 0.5000, 0.5000)
Tl (0.0000, 0.5000, 0.3280)
Tl (0.0000, 0.5000, 0.8280)
Tl (0.5000, 0.0000, 0.3280)
Tl (0.5000, 0.0000, 0.8280)
I (0.0000, 0.0000, 0.2242)
I (0.2461, 0.2461, 0.9527)
I (0.2461, 0.7539, 0.9527)
I (0.2539, 0.2539, 0.4527)
I (0.2539, 0.7461, 0.4527)
I (0.5000, 0.5000, 0.7242)
I (0.7461, 0.2539, 0.4527)
I (0.7461, 0.7461, 0.4527)
I (0.7539, 0.2461, 0.9527)
I (0.7539, 0.7539, 0.9527)

Main lines, by angle (15° ≤ 2θ ≤ 90°):
2θ 19.9, d = 4.459 Å, I 80, (1 1 2)
2θ 24.7, d = 3.600 Å, I 54, (2 0 2)
2θ 29.3, d = 3.049 Å, I 100, (2 2 0)
2θ 31.0, d = 2.882 Å, I 55, (1 1 4)
2θ 34.4, d = 2.605 Å, I 47, (2 0 4)
2θ 43.2, d = 2.094 Å, I 44, (3 1 4)

***

(3)
Structure and calculated PXRD pattern of Nd2Y2Cd (a cell relaxed with GGA-PBE; copper Kα).
Lines closer than 0.1° are merged.

Crystal structure
a = 3.6461 Å, b = 3.6461 Å, c = 23.4840 Å
α = 90.00°, β = 90.00°, γ = 90.00°
Positions (direct):
Nd (0.0000, 0.0000, 0.1941)
Nd (0.0000, 0.0000, 0.8059)
Nd (0.5000, 0.5000, 0.3059)
Nd (0.5000, 0.5000, 0.6941)
Y (0.0000, 0.0000, 0.4148)
Y (0.0000, 0.0000, 0.5852)
Y (0.5000, 0.5000, 0.0852)
Y (0.5000, 0.5000, 0.9148)
Cd (0.0000, 0.0000, 0.0000)
Cd (0.5000, 0.5000, 0.5000)

Main lines, by angle (15° ≤ 2θ ≤ 90°):
2θ 31.1, d = 2.880 Å, I 100, (1 0 5)
2θ 34.8, d = 2.578 Å, I 40, (1 1 0)
2θ 50.0, d = 1.823 Å, I 14, (2 0 0)
2θ 52.7, d = 1.736 Å, I 17, (1 1 10)
2θ 60.1, d = 1.540 Å, I 30, (2 1 5)
2θ 64.8, d = 1.439 Å, I 15, (2 0 10)

***

(4)
Structure and calculated PXRD pattern of LiAg6Ge (a cell relaxed with GGA-PBE; copper Kα).
Lines closer than 0.1° are merged.

Crystal structure
a = 7.9845 Å, b = 7.9922 Å, c = 4.3768 Å
α = 90.00°, β = 90.00°, γ = 90.00°
Positions (direct):
Li (0.0000, 0.0000, 0.0000)
Li (0.5000, 0.5000, 0.0000)
Ag (0.0000, 0.2347, 0.5000)
Ag (0.0000, 0.7653, 0.5000)
Ag (0.2391, 0.5000, 0.5000)
Ag (0.2500, 0.2500, 0.0000)
Ag (0.2500, 0.7500, 0.0000)
Ag (0.2609, 0.0000, 0.5000)
Ag (0.5000, 0.2653, 0.5000)
Ag (0.5000, 0.7347, 0.5000)
Ag (0.7391, 0.0000, 0.5000)
Ag (0.7500, 0.2500, 0.0000)
Ag (0.7500, 0.7500, 0.0000)
Ag (0.7609, 0.5000, 0.5000)
Ge (0.0000, 0.5000, 0.0000)
Ge (0.5000, 0.0000, 0.0000)

Main lines, by angle (15° ≤ 2θ ≤ 90°):
2θ 37.9, d = 2.373 Å, I 100, (2 2 1)
2θ 41.3, d = 2.188 Å, I 23, (0 0 2)
2θ 45.4, d = 1.997 Å, I 29, (4 0 0)
2θ 63.0, d = 1.475 Å, I 22, (4 0 2)
2θ 73.0, d = 1.296 Å, I 13, (2 2 3)
2θ 78.9, d = 1.214 Å, I 20, (6 2 1)

***

(5)
Structure and calculated PXRD pattern of Th2Zr2Sc3 (a cell relaxed with GGA-PBE; copper Kα).
Lines closer than 0.1° are merged.

Crystal structure
a = 3.3246 Å, b = 5.7197 Å, c = 10.0584 Å
α = 96.61°, β = 90.04°, γ = 106.89°
Positions (direct):
Th (0.0745, 0.1502, 0.2831)
Th (0.9255, 0.8498, 0.7169)
Zr (0.2101, 0.4220, 0.8683)
Zr (0.7899, 0.5780, 0.1317)
Sc (0.3560, 0.7139, 0.4233)
Sc (0.5000, 0.0000, 0.0000)
Sc (0.6440, 0.2861, 0.5767)

Main lines, by angle (15° ≤ 2θ ≤ 90°):
2θ 17.8, d = 4.992 Å, I 39, (0 0 2)
2θ 19.5, d = 4.548 Å, I 36, (0 1 1)
2θ 32.9, d = 2.726 Å, I 100, (1 0 -2)
2θ 33.1, d = 2.705 Å, I 49, (0 2 -1)
2θ 33.2, d = 2.697 Å, I 49, (0 1 3)
2θ 38.6, d = 2.335 Å, I 65, (1 1 1)

***

(6)
Structure and calculated PXRD pattern of PuCuAg (a cell relaxed with GGA-PBE; copper Kα).
Lines closer than 0.1° are merged.

Crystal structure
a = 2.9043 Å, b = 15.4143 Å, c = 5.1653 Å
α = 90.00°, β = 90.00°, γ = 90.00°
Positions (direct):
Pu (0.0000, 0.1817, 0.0000)
Pu (0.0000, 0.3183, 0.5000)
Pu (0.0000, 0.6817, 0.5000)
Pu (0.0000, 0.8183, 0.0000)
Cu (0.5000, 0.1430, 0.4997)
Cu (0.5000, 0.3570, 0.9997)
Cu (0.5000, 0.6430, 0.9997)
Cu (0.5000, 0.8570, 0.4997)
Ag (0.0000, 0.0000, 0.6700)
Ag (0.0000, 0.5000, 0.1700)
Ag (0.5000, 0.0000, 0.1705)
Ag (0.5000, 0.5000, 0.6705)

Main lines, by angle (15° ≤ 2θ ≤ 90°):
2θ 24.4, d = 3.643 Å, I 36, (0 3 1)
2θ 33.9, d = 2.647 Å, I 27, (0 5 1)
2θ 34.7, d = 2.583 Å, I 19, (0 0 2)
2θ 34.9, d = 2.569 Å, I 35, (0 6 0)
2θ 36.7, d = 2.449 Å, I 30, (0 2 2)
2θ 39.7, d = 2.271 Å, I 100, (1 3 1)

***

(7)
Structure and calculated PXRD pattern of ZnH12C2S2N4Cl2O4 (a cell relaxed with GGA-PBE; copper Kα).
Lines closer than 0.1° are merged.

Crystal structure
a = 14.5364 Å, b = 4.9090 Å, c = 9.0932 Å
α = 90.00°, β = 90.00°, γ = 90.00°
Positions (direct):
Zn (0.0000, 0.0881, 0.0000)
Zn (0.5000, 0.9119, 0.5000)
H (0.0864, 0.4989, 0.5825)
H (0.1048, 0.4320, 0.1358)
H (0.1229, 0.7387, 0.4423)
H (0.1644, 0.1418, 0.1129)
H (0.1669, 0.7618, 0.6285)
H (0.1819, 0.3110, 0.8540)
H (0.3181, 0.6890, 0.3540)
H (0.3331, 0.2382, 0.1285)
H (0.3356, 0.8582, 0.6129)
H (0.3771, 0.2613, 0.9423)
H (0.3952, 0.5680, 0.6358)
H (0.4136, 0.5011, 0.0825)
H (0.5864, 0.5011, 0.0825)
H (0.6048, 0.5680, 0.6358)
H (0.6229, 0.2613, 0.9423)
H (0.6644, 0.8582, 0.6129)
H (0.6669, 0.2382, 0.1285)
H (0.6819, 0.6890, 0.3540)
H (0.8181, 0.3110, 0.8540)
H (0.8331, 0.7618, 0.6285)
H (0.8356, 0.1418, 0.1129)
H (0.8771, 0.7387, 0.4423)
H (0.8952, 0.4320, 0.1358)
H (0.9136, 0.4989, 0.5825)
C (0.1432, 0.6252, 0.5410)
C (0.3568, 0.3748, 0.0410)
C (0.6432, 0.3748, 0.0410)
C (0.8568, 0.6252, 0.5410)
S (0.2328, 0.3963, 0.4943)
S (0.2672, 0.6037, 0.9943)
S (0.7328, 0.6037, 0.9943)
S (0.7672, 0.3963, 0.4943)
N (0.1245, 0.2860, 0.0605)
N (0.1732, 0.4259, 0.9473)
N (0.3268, 0.5741, 0.4473)
N (0.3755, 0.7140, 0.5605)
N (0.6245, 0.7140, 0.5605)
N (0.6732, 0.5741, 0.4473)
N (0.8268, 0.4259, 0.9473)
N (0.8755, 0.2860, 0.0605)
Cl (0.0000, 0.0527, 0.7578)
Cl (0.0000, 0.7868, 0.1904)
Cl (0.5000, 0.2132, 0.6904)
Cl (0.5000, 0.9473, 0.2578)
O (0.2081, 0.2480, 0.3628)
O (0.2421, 0.7538, 0.1262)
O (0.2579, 0.2462, 0.6262)
O (0.2919, 0.7520, 0.8628)
O (0.7081, 0.7520, 0.8628)
O (0.7421, 0.2462, 0.6262)
O (0.7579, 0.7538, 0.1262)
O (0.7919, 0.2480, 0.3628)

Main lines, by angle (15° ≤ 2θ ≤ 90°):
2θ 19.5, d = 4.547 Å, I 47, (0 0 2)
2θ 20.8, d = 4.276 Å, I 34, (3 0 1)
2θ 21.8, d = 4.068 Å, I 100, (2 1 0)
2θ 24.0, d = 3.713 Å, I 59, (2 1 1)
2θ 24.5, d = 3.634 Å, I 43, (4 0 0)
2θ 45.7, d = 1.985 Å, I 40, (4 2 1)

***

(8)
Structure and calculated PXRD pattern of RbIn3Pb3 (a cell relaxed with GGA-PBE; copper Kα).
Lines closer than 0.1° are merged.

Crystal structure
a = 8.4004 Å, b = 8.4004 Å, c = 8.4004 Å
α = 90.00°, β = 90.00°, γ = 90.00°
Positions (direct):
Rb (0.0000, 0.0000, 0.0000)
Rb (0.5000, 0.5000, 0.5000)
In (0.0000, 0.2500, 0.5000)
In (0.0000, 0.7500, 0.5000)
In (0.2500, 0.5000, 0.0000)
In (0.5000, 0.0000, 0.2500)
In (0.5000, 0.0000, 0.7500)
In (0.7500, 0.5000, 0.0000)
Pb (0.0000, 0.5000, 0.2500)
Pb (0.0000, 0.5000, 0.7500)
Pb (0.2500, 0.0000, 0.5000)
Pb (0.5000, 0.2500, 0.0000)
Pb (0.5000, 0.7500, 0.0000)
Pb (0.7500, 0.0000, 0.5000)

Main lines, by angle (15° ≤ 2θ ≤ 90°):
2θ 21.2, d = 4.200 Å, I 41, (2 0 0)
2θ 26.0, d = 3.429 Å, I 100, (2 1 1)
2θ 37.1, d = 2.425 Å, I 61, (2 2 2)
2θ 40.2, d = 2.245 Å, I 63, (3 2 1)
2θ 43.1, d = 2.100 Å, I 43, (4 0 0)
2θ 62.5, d = 1.485 Å, I 29, (4 4 0)